1.
# UCl6
Computed powder X-ray diffraction pattern, Cu Ka. Input: a structure optimized by DFT (GGA-PBE).
No peak broadening, texture or thermal motion is included.

Principal peaks in the range 2θ = 10–90°, by intensity:
16.0 deg, intensity 100, hkl 1 1 0
17.3 deg, intensity 71, hkl 0 1 1
41.0 deg, intensity 35, hkl 3 0 2
28.7 deg, intensity 34, hkl 1 2 1
23.7 deg, intensity 33, hkl 2 0 1
31.7 deg, intensity 26, hkl 3 0 1
33.7 deg, intensity 25, hkl 1 1 2
36.9 deg, intensity 21, hkl 3 1 1

Structure:
abc: 11.0615 11.0615 6.0679
angles: 90.00 90.00 120.00
Space group P-3m1 (No. 164)
Symmetry-distinct sites (fractional):
U  0.0000  0.0000  0.0000
U  0.3333  0.6667  0.4860
Cl  0.1045  0.2090  0.2362
Cl  0.1246  0.5623  0.2491
Cl  0.2285  0.4571  0.7218

---

2.
# ZnCo15
Computed powder X-ray diffraction pattern, Cu Ka. Input: a structure optimized by DFT (GGA-PBE).
No peak broadening, texture or thermal motion is included.

Principal peaks in the range 2θ = 10–90°, by intensity:
45.1 deg, intensity 100, hkl 1 1 12
43.8 deg, intensity 46, hkl 1 1 11
52.2 deg, intensity 45, hkl 2 0 0
75.9 deg, intensity 13, hkl 2 0 23
77.0 deg, intensity 13, hkl 2 2 0
77.8 deg, intensity 13, hkl 2 0 24
50.9 deg, intensity 12, hkl 0 0 23
53.2 deg, intensity 11, hkl 0 0 24

Structure:
abc: 3.504 3.504 41.295
angles: 90.00 90.00 90.00
Space group Pmma (No. 51)
Symmetry-distinct sites (fractional):
Zn  0.250  0.000  0.176
Co  0.250  0.000  0.266
Co  0.250  0.000  0.351
Co  0.250  0.000  0.436
Co  0.250  0.000  0.521
Co  0.250  0.000  0.606
Co  0.250  0.000  0.691
Co  0.250  0.000  0.776
Co  0.250  0.500  0.224
Co  0.250  0.500  0.309
Co  0.250  0.500  0.394
Co  0.250  0.500  0.479
Co  0.250  0.500  0.564
Co  0.250  0.500  0.649
Co  0.250  0.500  0.733
Co  0.250  0.500  0.816

---

3.
# KBi5Pt3
Computed powder X-ray diffraction pattern, Cu Ka. Input: a structure optimized by DFT (GGA-PBE).
No peak broadening, texture or thermal motion is included.

Principal peaks in the range 2θ = 10–90°, by intensity:
10.1 deg, intensity 100, hkl 0 0 1
40.9 deg, intensity 80, hkl 2 0 2
30.3 deg, intensity 46, hkl 1 1 0
36.6 deg, intensity 45, hkl 2 0 1
36.7 deg, intensity 40, hkl 1 1 2
26.8 deg, intensity 34, hkl 1 0 2
17.3 deg, intensity 28, hkl 1 0 0
41.3 deg, intensity 21, hkl 0 0 4

Structure:
abc: 5.9079 5.9079 8.7532
angles: 90.00 90.00 120.00
Space group P6/mmm (No. 191)
Symmetry-distinct sites (fractional):
K  0.0000  0.0000  0.0000
Bi  0.0000  0.0000  0.5000
Bi  0.3333  0.6667  0.2320
Pt  0.0000  0.5000  0.5000

---

4.
# Tm4Tl3In2Os2
Computed powder X-ray diffraction pattern, Cu Ka. Input: a structure optimized by DFT (GGA-PBE).
No peak broadening, texture or thermal motion is included.

Principal peaks in the range 2θ = 10–90°, by intensity:
33.8 deg, intensity 100, hkl 1 1 2
38.1 deg, intensity 79, hkl 2 1 -2
33.9 deg, intensity 70, hkl 2 1 0
32.9 deg, intensity 69, hkl 1 1 -2
35.0 deg, intensity 55, hkl 2 0 -3
11.3 deg, intensity 52, hkl 1 0 0
34.3 deg, intensity 44, hkl 3 0 0
37.7 deg, intensity 41, hkl 0 0 4

Structure:
abc: 7.858 3.574 9.561
angles: 90.00 94.26 90.00
Space group P2/m (No. 10)
Symmetry-distinct sites (fractional):
Tm  0.186  0.000  0.336
Tm  0.218  0.000  0.929
Tl  0.151  0.500  0.638
Tl  0.500  0.500  0.500
In  0.447  0.500  0.162
Os  0.074  0.500  0.126

---

5.
# NdGdZn6Si3
Computed powder X-ray diffraction pattern, Cu Ka. Input: a structure optimized by DFT (GGA-PBE).
No peak broadening, texture or thermal motion is included.

Principal peaks in the range 2θ = 10–90°, by intensity:
32.6 deg, intensity 100, hkl 1 1 1
43.1 deg, intensity 44, hkl 2 1 1
41.6 deg, intensity 27, hkl 3 0 0
36.5 deg, intensity 24, hkl 2 1 0
70.2 deg, intensity 23, hkl 1 4 1
44.9 deg, intensity 19, hkl 0 0 2
62.9 deg, intensity 15, hkl 3 0 2
27.4 deg, intensity 14, hkl 2 0 0

Structure:
abc: 7.5178 7.5178 4.0338
angles: 90.00 90.00 120.00
Space group P-6 (No. 174)
Symmetry-distinct sites (fractional):
Nd  0.0000  0.0000  0.0000
Gd  0.6667  0.3333  0.0000
Zn  0.0385  0.6684  0.5000
Zn  0.1387  0.4767  0.0000
Si  0.3380  0.0470  0.5000

---

6.
# TcAgOs2
Computed powder X-ray diffraction pattern, Cu Ka. Input: a structure optimized by DFT (GGA-PBE).
No peak broadening, texture or thermal motion is included.

Principal peaks in the range 2θ = 10–90°, by intensity:
40.9 deg, intensity 100, hkl 2 2 0
74.4 deg, intensity 34, hkl 4 2 2
59.2 deg, intensity 17, hkl 4 0 0
88.6 deg, intensity 11, hkl 4 4 0
24.7 deg, intensity 9, hkl 1 1 1
48.3 deg, intensity 5, hkl 3 1 1
65.1 deg, intensity 2, hkl 3 3 1
79.8 deg, intensity 2, hkl 5 1 1

Structure:
abc: 6.245 6.245 6.245
angles: 90.00 90.00 90.00
Space group F-43m (No. 216)
Symmetry-distinct sites (fractional):
Tc  0.000  0.000  0.000
Ag  0.250  0.250  0.250
Os  0.000  0.000  0.500
Os  0.250  0.250  0.750

---

7.
# Li2CuAs2Ir
Computed powder X-ray diffraction pattern, Cu Ka. Input: a structure optimized by DFT (GGA-PBE).
No peak broadening, texture or thermal motion is included.

Principal peaks in the range 2θ = 10–90°, by intensity:
14.3 deg, intensity 100, hkl 0 0 1
43.8 deg, intensity 77, hkl 1 1 2
27.0 deg, intensity 52, hkl 1 0 1
35.5 deg, intensity 50, hkl 1 1 1
46.4 deg, intensity 30, hkl 2 0 0
84.3 deg, intensity 25, hkl 3 1 2
48.8 deg, intensity 18, hkl 2 0 1
22.7 deg, intensity 15, hkl 1 0 0

Structure:
abc: 3.910 3.910 6.206
angles: 90.00 90.00 90.00
Space group P-4m2 (No. 115)
Symmetry-distinct sites (fractional):
Li  0.000  0.500  0.175
Cu  0.000  0.000  0.500
As  0.000  0.500  0.753
Ir  0.500  0.500  0.500

---

8.
# TbYTeC
Computed powder X-ray diffraction pattern, Cu Ka. Input: a structure optimized by DFT (GGA-PBE).
No peak broadening, texture or thermal motion is included.

Principal peaks in the range 2θ = 10–90°, by intensity:
33.0 deg, intensity 100, hkl 1 0 3
26.7 deg, intensity 28, hkl 1 0 0
47.2 deg, intensity 26, hkl 1 1 0
58.8 deg, intensity 19, hkl 2 0 3
62.4 deg, intensity 18, hkl 1 1 6
78.6 deg, intensity 16, hkl 2 1 3
47.4 deg, intensity 13, hkl 1 0 6
38.3 deg, intensity 13, hkl 0 0 6

Structure:
abc: 3.8483 3.8483 14.0846
angles: 90.00 90.00 120.00
Space group P-6m2 (No. 187)
Symmetry-distinct sites (fractional):
Tb  0.0000  0.0000  0.1567
Y  0.3333  0.6667  0.3439
Te  0.0000  0.0000  0.5000
Te  0.3333  0.6667  0.0000
C  0.6667  0.3333  0.2502

---

Question: What is the formula in the seventh record?
Answer: Li2CuAs2Ir